(1)
Theoretical powder XRD pattern
Compound: La3Mg
Radiation: Cu Ka
Structure: the PBE geometry in the Materials Project

Main lines, in order of rising 2θ (2θ from 10° to 90°):
2θ/deg  d [Å]  I (rel.)
19.5  4.545  19
30.3  2.950  100
34.1  2.628  18
35.6  2.521  32
50.1  1.819  24
51.3  1.782  11
58.7  1.572  15
60.7  1.526  27
63.0  1.475  12
81.7  1.179  12

Atomic structure:
```
data_La3Mg
_chemical_formula_sum 'La6 Mg2'
_cell_length_a 5.041
_cell_length_b 5.041
_cell_length_c 10.511
_cell_angle_alpha 90.00
_cell_angle_beta 90.00
_cell_angle_gamma 90.00
_symmetry_space_group_name_H-M 'I 4/m m m'
_symmetry_Int_Tables_number 139
_symmetry_space_group_name_Hall '-I 4 2'
loop_
_atom_site_label
_atom_site_type_symbol
_atom_site_fract_x
_atom_site_fract_y
_atom_site_fract_z
La1 La 0.000 0.000 0.000
La2 La 0.000 0.500 0.250
Mg1 Mg 0.000 0.000 0.500
```

(2)
Theoretical powder XRD pattern
Compound: La3Mg
Radiation: Cu Ka
Structure: the PBE geometry in the Materials Project

Main lines, in order of rising 2θ (2θ from 10° to 90°):
2θ/deg  d [Å]  I (rel.)
16.0  5.527  16
27.0  3.306  16
28.0  3.192  22
28.4  3.138  18
30.6  2.917  31
32.0  2.800  100
32.4  2.763  38
50.1  1.822  17
55.3  1.661  17
59.9  1.545  18

Atomic structure:
```
data_La3Mg
_chemical_formula_sum 'La6 Mg2'
_cell_length_a 3.707
_cell_length_b 11.670
_cell_length_c 6.275
_cell_angle_alpha 90.00
_cell_angle_beta 90.00
_cell_angle_gamma 90.00
_symmetry_space_group_name_H-M 'I m m 2'
_symmetry_Int_Tables_number 44
_symmetry_space_group_name_Hall 'I 2 -2'
loop_
_atom_site_label
_atom_site_type_symbol
_atom_site_fract_x
_atom_site_fract_y
_atom_site_fract_z
La1 La 0.000 0.000 0.000
La2 La 0.000 0.233 0.642
Mg1 Mg 0.000 0.500 0.980
```

> What is the formula in the second record?

La3Mg